Calculated X-ray diffraction stick pattern
Compound: AcLa2PO8
Radiation: Cu Kα (λ = 1.5418 Å)
Structure: a structure optimized by DFT (PBE)
Peak positions follow from Bragg's law for the DFT cell and can differ from measured ones.

Atomic structure:
Cell: 5.3279 5.3279 6.7577 Å, 90.00 90.00 120.00°
Space group P-3m1 (No. 164)
Asymmetric unit:
Ac1 0.0000 0.0000 0.0000
La1 0.3333 0.6667 0.3645
P1 0.0000 0.0000 0.5000
O1 0.1506 0.3012 0.6495
O2 0.3333 0.6667 0.0484

The 12 most intense peaks (2θ = 15–90°), low angle first:
- 2θ = 19.24°, I 15
- 2θ = 23.34°, I 100
- 2θ = 32.85°, I 48
- 2θ = 33.64°, I 64
- 2θ = 40.03°, I 13
- 2θ = 41.35°, I 39
- 2θ = 43.25°, I 14
- 2θ = 47.74°, I 27
- 2θ = 53.26°, I 21
- 2θ = 54.33°, I 24
- 2θ = 58.15°, I 13
- 2θ = 59.66°, I 19

=====

Calculated X-ray diffraction stick pattern
Compound: TiBeIn2S
Radiation: Cu Kα (λ = 1.5418 Å)
Structure: a structure optimized by DFT (PBE)
Peak positions follow from Bragg's law for the DFT cell and can differ from measured ones.

Atomic structure:
Cell: 5.597 5.597 3.610 Å, 90.00 90.00 90.00°
Space group P4/mmm (No. 123)
Asymmetric unit:
Ti1 0.000 0.000 0.000
Be1 0.500 0.500 0.000
In1 0.000 0.500 0.500
S1 0.500 0.500 0.500

The 12 most intense peaks (2θ = 15–90°), low angle first:
- 2θ = 22.46°, I 44
- 2θ = 24.66°, I 39
- 2θ = 31.98°, I 91
- 2θ = 33.60°, I 100
- 2θ = 40.79°, I 41
- 2θ = 45.85°, I 32
- 2θ = 52.75°, I 19
- 2θ = 58.03°, I 40
- 2θ = 61.09°, I 26
- 2θ = 70.63°, I 17
- 2θ = 76.04°, I 14
- 2θ = 88.39°, I 14

=====

Calculated X-ray diffraction stick pattern
Compound: Ba6Mg15Ag8
Radiation: Cu Kα (λ = 1.5418 Å)
Structure: a structure optimized by DFT (PBE)
Peak positions follow from Bragg's law for the DFT cell and can differ from measured ones.

Atomic structure:
Cell: 15.038 15.038 15.038 Å, 90.00 90.00 90.00°
Space group Fm-3m (No. 225)
Asymmetric unit:
Ba1 0.000 0.000 0.237
Mg1 0.000 0.000 0.500
Mg2 0.000 0.250 0.250
Mg3 0.174 0.174 0.174
Ag1 0.139 0.139 0.361

The 12 most intense peaks (2θ = 15–90°), low angle first:
- 2θ = 19.58°, I 13
- 2θ = 20.46°, I 31
- 2θ = 25.82°, I 30
- 2θ = 26.51°, I 21
- 2θ = 29.09°, I 11
- 2θ = 33.72°, I 100
- 2θ = 35.83°, I 12
- 2θ = 48.42°, I 12
- 2θ = 49.62°, I 18
- 2θ = 60.30°, I 25
- 2θ = 71.85°, I 10
- 2θ = 86.61°, I 14

=====

Calculated X-ray diffraction stick pattern
Compound: SmNpSe2N
Radiation: Cu Kα (λ = 1.5418 Å)
Structure: a structure optimized by DFT (PBE)
Peak positions follow from Bragg's law for the DFT cell and can differ from measured ones.

Atomic structure:
Cell: 3.954 3.954 14.774 Å, 90.00 90.00 90.00°
Space group P4/nmm (No. 129, origin choice 2)
Asymmetric unit:
Sm1 0.250 0.250 0.130
Np1 0.250 0.250 0.575
Se1 0.250 0.250 0.318
Se2 0.250 0.250 0.912
N1 0.250 0.750 0.500

The 12 most intense peaks (2θ = 15–90°), low angle first:
- 2θ = 24.10°, I 26
- 2θ = 25.55°, I 52
- 2θ = 28.96°, I 51
- 2θ = 32.01°, I 100
- 2θ = 33.19°, I 30
- 2θ = 38.02°, I 58
- 2θ = 40.46°, I 33
- 2θ = 45.90°, I 41
- 2θ = 55.19°, I 17
- 2θ = 61.09°, I 44
- 2θ = 76.13°, I 17
- 2θ = 79.69°, I 21